# Pu2Al2Se7
Simulated powder diffraction line list, Cu Kα (λ = 1.5418 Å). Input: a cell relaxed with GGA-PBE.
Peak positions follow from Bragg's law for the DFT cell and can differ from measured ones.

Structure:
Lattice parameters (Å, degrees): 7.191 7.191 6.667 96.86 96.86 103.72
Element x y z (fractional)
Pu1 0.193 0.807 0.000
Pu2 0.807 0.193 0.000
Al1 0.262 0.262 0.598
Al2 0.738 0.738 0.402
Se1 0.054 0.424 0.763
Se2 0.103 0.103 0.257
Se3 0.424 0.054 0.763
Se4 0.500 0.500 0.500
Se5 0.576 0.946 0.237
Se6 0.897 0.897 0.743
Se7 0.946 0.576 0.237

Most intense lines, 15 to 90 degrees two-theta, most intense first:
2θ (°), I_rel
20.8, 100
30.1, 77
31.1, 46
22.2, 45
30.8, 44
44.2, 44